No. 1
For Cs5MgGa6, a cell relaxed with PBE gives the computed PXRD pattern in this record (CuKα).
No peak broadening, texture or thermal motion is included.

Crystal structure
```
data_Cs5MgGa6
_chemical_formula_sum 'Cs10 Mg2 Ga12'
_cell_length_a 8.152
_cell_length_b 13.682
_cell_length_c 10.078
_cell_angle_alpha 90.00
_cell_angle_beta 101.52
_cell_angle_gamma 90.00
_symmetry_space_group_name_H-M 'C 1 2/m 1'
_symmetry_Int_Tables_number 12
_symmetry_space_group_name_Hall '-C 2y'
loop_
_atom_site_label
_atom_site_type_symbol
_atom_site_fract_x
_atom_site_fract_y
_atom_site_fract_z
Cs1 Cs 0.000 0.000 0.000
Cs2 Cs 0.000 0.166 0.500
Cs3 Cs 0.000 0.298 0.000
Mg1 Mg 0.000 0.500 0.500
Ga1 Ga 0.119 0.500 0.246
Ga2 Ga 0.173 0.405 0.735
```

The 12 most intense peaks (10 to 90 degrees two-theta), sorted by position:
20.2°, I = 31, hkl 1 1 -2
22.2°, I = 75, hkl 2 0 0
23.4°, I = 42, hkl 1 3 -1
23.9°, I = 34, hkl 1 1 2
25.0°, I = 100, hkl 1 3 1
25.7°, I = 65, hkl 2 0 -2
31.5°, I = 29, hkl 2 0 2
33.6°, I = 52, hkl 1 3 -3
34.5°, I = 34, hkl 2 4 -1
35.3°, I = 25, hkl 1 5 -1
36.4°, I = 39, hkl 0 0 4
41.8°, I = 23, hkl 3 3 1

---

No. 2
For Tl4Ga, a cell relaxed with PBE gives the computed PXRD pattern in this record (CuKα).
No peak broadening, texture or thermal motion is included.

Crystal structure
```
data_Tl4Ga
_chemical_formula_sum 'Tl16 Ga4'
_cell_length_a 4.945
_cell_length_b 5.126
_cell_length_c 22.545
_cell_angle_alpha 90.00
_cell_angle_beta 90.00
_cell_angle_gamma 90.00
_symmetry_space_group_name_H-M 'F m m m'
_symmetry_Int_Tables_number 69
_symmetry_space_group_name_Hall '-F 2 2'
loop_
_atom_site_label
_atom_site_type_symbol
_atom_site_fract_x
_atom_site_fract_y
_atom_site_fract_z
Tl1 Tl 0.000 0.000 0.086
Tl2 Tl 0.000 0.000 0.305
Ga1 Ga 0.000 0.000 0.500
```

The 12 most intense peaks (10 to 90 degrees two-theta), sorted by position:
27.7°, I = 13, hkl 1 1 3
32.0°, I = 100, hkl 1 1 5
35.0°, I = 22, hkl 0 2 0
36.3°, I = 20, hkl 2 0 0
40.0°, I = 10, hkl 0 0 10
51.3°, I = 15, hkl 2 2 0
54.2°, I = 8, hkl 0 2 10
55.1°, I = 8, hkl 2 0 10
59.3°, I = 10, hkl 1 1 13
60.9°, I = 16, hkl 1 3 5
62.7°, I = 15, hkl 3 1 5
67.0°, I = 9, hkl 2 2 10